1.
For Cr4P5, a cell relaxed with GGA-PBE gives the computed XRD peak list in this record (copper Kα).
Intensities are scaled so that the largest is 100.

Atomic structure:
Cell lengths 7.476, 7.476, 4.798 Å; angles 90.00, 90.00, 120.00 degrees
Fractional positions:
Cr (0.000, 0.000, 0.000)
Cr (0.000, 0.000, 0.500)
Cr (0.000, 0.367, 0.250)
Cr (0.000, 0.633, 0.750)
Cr (0.367, 0.000, 0.250)
Cr (0.367, 0.367, 0.750)
Cr (0.633, 0.000, 0.750)
Cr (0.633, 0.633, 0.250)
P (0.000, 0.280, 0.750)
P (0.000, 0.720, 0.250)
P (0.280, 0.000, 0.750)
P (0.280, 0.280, 0.250)
P (0.333, 0.667, 0.000)
P (0.333, 0.667, 0.500)
P (0.667, 0.333, 0.000)
P (0.667, 0.333, 0.500)
P (0.720, 0.000, 0.250)
P (0.720, 0.720, 0.750)

Peak list (10 most intense, 2θ from 10° to 90°, by angle)
2θ 13.7, I = 9.5
2θ 30.3, I = 19.2
2θ 37.5, I = 8.8
2θ 41.4, I = 33.3
2θ 41.9, I = 100.0
2θ 44.9, I = 85.3
2θ 54.6, I = 10.3
2θ 63.1, I = 23.8
2θ 78.6, I = 18.3
2θ 81.1, I = 8.5

---

2.
For PuTcPb2O6, a cell relaxed with GGA-PBE gives the computed XRD peak list in this record (copper Kα).
Intensities are scaled so that the largest is 100.

Atomic structure:
Cell lengths 6.354, 6.354, 5.071 Å; angles 106.55, 106.55, 53.98 degrees
Fractional positions:
Pu (0.000, 0.000, 0.000)
Tc (0.500, 0.500, 0.500)
Pb (0.271, 0.271, 0.780)
Pb (0.729, 0.729, 0.220)
O (0.167, 0.167, 0.281)
O (0.185, 0.655, 0.225)
O (0.345, 0.815, 0.775)
O (0.655, 0.185, 0.225)
O (0.815, 0.345, 0.775)
O (0.833, 0.833, 0.719)

Peak list (10 most intense, 2θ from 10° to 90°, by angle)
2θ 27.4, I = 100.0
2θ 30.2, I = 93.3
2θ 31.0, I = 39.4
2θ 33.4, I = 26.7
2θ 35.7, I = 26.0
2θ 46.2, I = 25.9
2θ 48.0, I = 30.2
2θ 53.0, I = 17.8
2θ 54.5, I = 17.7
2θ 54.7, I = 17.6

---

3.
For Pa2Tc12P7, a cell relaxed with GGA-PBE gives the computed XRD peak list in this record (copper Kα).
Intensities are scaled so that the largest is 100.

Atomic structure:
Cell lengths 9.570, 9.570, 3.944 Å; angles 90.00, 90.00, 120.00 degrees
Fractional positions:
Pa (0.000, 0.000, 0.000)
Pa (0.333, 0.667, 0.500)
Tc (0.050, 0.283, 0.500)
Tc (0.100, 0.706, 0.000)
Tc (0.233, 0.950, 0.500)
Tc (0.294, 0.394, 0.000)
Tc (0.390, 0.180, 0.000)
Tc (0.548, 0.427, 0.500)
Tc (0.573, 0.121, 0.500)
Tc (0.606, 0.900, 0.000)
Tc (0.717, 0.767, 0.500)
Tc (0.789, 0.610, 0.000)
Tc (0.820, 0.211, 0.000)
Tc (0.879, 0.452, 0.500)
P (0.075, 0.451, 0.000)
P (0.266, 0.222, 0.500)
P (0.375, 0.925, 0.000)
P (0.549, 0.625, 0.000)
P (0.667, 0.333, 0.000)
P (0.778, 0.044, 0.500)
P (0.956, 0.734, 0.500)

Peak list (10 most intense, 2θ from 10° to 90°, by angle)
2θ 25.0, I = 11.8
2θ 28.5, I = 14.1
2θ 36.6, I = 100.0
2θ 39.2, I = 9.4
2θ 43.7, I = 9.5
2θ 46.0, I = 17.6
2θ 50.5, I = 14.3
2θ 53.5, I = 9.3
2θ 70.7, I = 10.4
2θ 79.0, I = 10.6

---

4.
For NaSr4H10, a cell relaxed with GGA-PBE gives the computed XRD peak list in this record (copper Kα).
Intensities are scaled so that the largest is 100.

Atomic structure:
Cell lengths 15.408, 15.408, 15.408 Å; angles 15.33, 15.33, 15.33 degrees
Fractional positions:
Na (0.000, 0.000, 0.000)
Sr (0.204, 0.204, 0.204)
Sr (0.388, 0.388, 0.388)
Sr (0.612, 0.612, 0.612)
Sr (0.796, 0.796, 0.796)
H (0.047, 0.047, 0.047)
H (0.148, 0.148, 0.148)
H (0.257, 0.257, 0.257)
H (0.323, 0.323, 0.323)
H (0.445, 0.445, 0.445)
H (0.555, 0.555, 0.555)
H (0.677, 0.677, 0.677)
H (0.743, 0.743, 0.743)
H (0.852, 0.852, 0.852)
H (0.953, 0.953, 0.953)

Peak list (10 most intense, 2θ from 10° to 90°, by angle)
2θ 23.4, I = 20.0
2θ 26.9, I = 100.0
2θ 28.6, I = 17.5
2θ 29.3, I = 14.9
2θ 31.9, I = 48.8
2θ 42.1, I = 20.1
2θ 44.1, I = 29.9
2θ 50.5, I = 14.9
2θ 52.4, I = 15.5
2θ 53.8, I = 15.7